For GdDyMg3Cu2, a structure optimized by DFT (PBE) gives the calculated X-ray powder pattern in this record (Cu Kα X-rays).
Lines closer than 0.1° are merged.

Structural model:
Cell lengths 3.594, 10.671, 10.671 Å; angles 22.40, 90.00, 90.00 degrees
Fractional positions:
Gd: 0.000 0.000 0.000
Dy: 0.000 0.656 0.656
Mg: 0.000 0.828 0.828
Mg: 0.500 0.250 0.250
Mg: 0.500 0.405 0.405
Cu: 0.500 0.115 0.115
Cu: 0.500 0.543 0.543

The 10 most intense peaks (2θ from 5° to 70°), low angle first:
| two_theta | Rel. int. |
| --- | --- |
| 8.4 | 100 |
| 25.0 | 13 |
| 33.3 | 19 |
| 35.5 | 34 |
| 35.9 | 21 |
| 37.1 | 10 |
| 39.6 | 18 |
| 43.7 | 10 |
| 44.7 | 9 |
| 57.7 | 12 |

---

For Tb2ZrSe5, a structure optimized by DFT (PBE) gives the calculated X-ray powder pattern in this record (Cu Kα X-rays).
Lines closer than 0.1° are merged.

Structural model:
Cell lengths 12.198, 8.114, 7.638 Å; angles 90.00, 90.00, 90.00 degrees
Fractional positions:
Tb: 0.180 0.004 0.022
Tb: 0.180 0.496 0.022
Tb: 0.320 0.504 0.522
Tb: 0.320 0.996 0.522
Tb: 0.680 0.004 0.478
Tb: 0.680 0.496 0.478
Tb: 0.820 0.504 0.978
Tb: 0.820 0.996 0.978
Zr: 0.006 0.750 0.581
Zr: 0.494 0.250 0.081
Zr: 0.506 0.750 0.919
Zr: 0.994 0.250 0.419
Se: 0.003 0.750 0.951
Se: 0.095 0.039 0.661
Se: 0.095 0.461 0.661
Se: 0.180 0.750 0.329
Se: 0.209 0.250 0.308
Se: 0.291 0.750 0.808
Se: 0.320 0.250 0.829
Se: 0.405 0.539 0.161
Se: 0.405 0.961 0.161
Se: 0.497 0.250 0.451
Se: 0.503 0.750 0.549
Se: 0.595 0.039 0.839
Se: 0.595 0.461 0.839
Se: 0.680 0.750 0.171
Se: 0.709 0.250 0.192
Se: 0.791 0.750 0.692
Se: 0.820 0.250 0.671
Se: 0.905 0.539 0.339
Se: 0.905 0.961 0.339
Se: 0.997 0.250 0.049

The 10 most intense peaks (2θ from 5° to 70°), low angle first:
| two_theta | Rel. int. |
| --- | --- |
| 24.8 | 41 |
| 32.2 | 33 |
| 33.0 | 49 |
| 33.3 | 81 |
| 35.5 | 100 |
| 36.0 | 35 |
| 36.9 | 35 |
| 41.9 | 32 |
| 44.7 | 42 |
| 45.0 | 46 |

---

For Ho3ScPb2C2, a structure optimized by DFT (PBE) gives the calculated X-ray powder pattern in this record (Cu Kα X-rays).
Lines closer than 0.1° are merged.

Structural model:
Cell lengths 3.567, 3.567, 15.848 Å; angles 90.00, 90.00, 120.00 degrees
Fractional positions:
Ho: 0.000 0.000 0.000
Ho: 0.000 0.000 0.340
Ho: 0.333 0.667 0.508
Sc: 0.333 0.667 0.842
Pb: 0.000 0.000 0.681
Pb: 0.333 0.667 0.170
C: 0.667 0.333 0.424
C: 0.667 0.333 0.916

The 10 most intense peaks (2θ from 5° to 70°), low angle first:
| two_theta | Rel. int. |
| --- | --- |
| 5.6 | 12 |
| 28.9 | 23 |
| 29.5 | 6 |
| 33.6 | 100 |
| 33.9 | 20 |
| 45.2 | 16 |
| 51.2 | 21 |
| 60.5 | 17 |
| 62.7 | 17 |
| 62.9 | 21 |

---

For Sm2Ga5Pt3, a structure optimized by DFT (PBE) gives the calculated X-ray powder pattern in this record (Cu Kα X-rays).
Lines closer than 0.1° are merged.

Structural model:
Cell lengths 8.661, 8.661, 8.661 Å; angles 106.62, 86.54, 140.74 degrees
Fractional positions:
Sm: 0.137 0.226 0.363
Sm: 0.363 0.726 0.089
Sm: 0.637 0.274 0.911
Sm: 0.863 0.774 0.637
Ga: 0.036 0.750 0.286
Ga: 0.100 0.663 0.763
Ga: 0.250 0.250 0.000
Ga: 0.400 0.163 0.564
Ga: 0.464 0.750 0.714
Ga: 0.536 0.250 0.286
Ga: 0.600 0.837 0.436
Ga: 0.750 0.750 0.000
Ga: 0.900 0.337 0.237
Ga: 0.964 0.250 0.714
Pt: 0.143 0.896 0.039
Pt: 0.250 0.750 0.500
Pt: 0.357 0.396 0.753
Pt: 0.643 0.604 0.247
Pt: 0.750 0.250 0.500
Pt: 0.857 0.104 0.961

The 10 most intense peaks (2θ from 5° to 70°), low angle first:
| two_theta | Rel. int. |
| --- | --- |
| 22.8 | 23 |
| 32.7 | 18 |
| 33.3 | 100 |
| 35.4 | 34 |
| 38.7 | 15 |
| 42.3 | 57 |
| 47.0 | 12 |
| 53.4 | 13 |
| 56.3 | 17 |
| 64.0 | 13 |

---

For Al9Fe2, a structure optimized by DFT (PBE) gives the calculated X-ray powder pattern in this record (Cu Kα X-rays).
Lines closer than 0.1° are merged.

Structural model:
Cell lengths 6.139, 6.355, 8.659 Å; angles 90.00, 95.13, 90.00 degrees
Fractional positions:
Al: 0.000 0.000 0.000
Al: 0.000 0.500 0.500
Al: 0.077 0.196 0.726
Al: 0.077 0.304 0.226
Al: 0.220 0.619 0.046
Al: 0.220 0.881 0.546
Al: 0.391 0.188 0.995
Al: 0.391 0.312 0.495
Al: 0.416 0.546 0.770
Al: 0.416 0.954 0.270
Al: 0.584 0.046 0.730
Al: 0.584 0.454 0.230
Al: 0.609 0.688 0.505
Al: 0.609 0.812 0.005
Al: 0.780 0.119 0.454
Al: 0.780 0.381 0.954
Al: 0.923 0.696 0.774
Al: 0.923 0.804 0.274
Fe: 0.263 0.618 0.335
Fe: 0.263 0.882 0.835
Fe: 0.737 0.118 0.165
Fe: 0.737 0.382 0.665

The 10 most intense peaks (2θ from 5° to 70°), low angle first:
| two_theta | Rel. int. |
| --- | --- |
| 20.2 | 90 |
| 23.3 | 73 |
| 37.4 | 75 |
| 38.9 | 77 |
| 40.2 | 80 |
| 43.6 | 100 |
| 45.3 | 73 |
| 46.0 | 76 |
| 46.3 | 78 |
| 46.8 | 71 |

---

For KBi5Os3, a structure optimized by DFT (PBE) gives the calculated X-ray powder pattern in this record (Cu Kα X-rays).
Lines closer than 0.1° are merged.

Structural model:
Cell lengths 5.866, 5.866, 8.672 Å; angles 90.00, 90.00, 120.00 degrees
Fractional positions:
K: 0.000 0.000 0.000
Bi: 0.000 0.000 0.500
Bi: 0.333 0.667 0.240
Bi: 0.333 0.667 0.760
Bi: 0.667 0.333 0.240
Bi: 0.667 0.333 0.760
Os: 0.000 0.500 0.500
Os: 0.500 0.000 0.500
Os: 0.500 0.500 0.500

The 10 most intense peaks (2θ from 5° to 70°), low angle first:
| two_theta | Rel. int. |
| --- | --- |
| 10.2 | 100 |
| 17.5 | 25 |
| 27.0 | 33 |
| 30.5 | 43 |
| 36.9 | 38 |
| 37.0 | 38 |
| 41.2 | 73 |
| 41.7 | 21 |
| 52.5 | 18 |
| 63.4 | 19 |

---

Copy entry 6 word for word.
For KBi5Os3, a structure optimized by DFT (PBE) gives the calculated X-ray powder pattern in this record (Cu Kα X-rays).
Lines closer than 0.1° are merged.

Structural model:
Cell lengths 5.866, 5.866, 8.672 Å; angles 90.00, 90.00, 120.00 degrees
Fractional positions:
K: 0.000 0.000 0.000
Bi: 0.000 0.000 0.500
Bi: 0.333 0.667 0.240
Bi: 0.333 0.667 0.760
Bi: 0.667 0.333 0.240
Bi: 0.667 0.333 0.760
Os: 0.000 0.500 0.500
Os: 0.500 0.000 0.500
Os: 0.500 0.500 0.500

The 10 most intense peaks (2θ from 5° to 70°), low angle first:
| two_theta | Rel. int. |
| --- | --- |
| 10.2 | 100 |
| 17.5 | 25 |
| 27.0 | 33 |
| 30.5 | 43 |
| 36.9 | 38 |
| 37.0 | 38 |
| 41.2 | 73 |
| 41.7 | 21 |
| 52.5 | 18 |
| 63.4 | 19 |

---

Q: Number 1 is which compound?
A: GdDyMg3Cu2

---

Q: What is the formula in the second record?
A: Tb2ZrSe5